(1)
Simulated X-ray diffraction stick pattern of Li2Fe3S4 for CuKα, from a crystal structure in the Materials Project, relaxed with GGA-PBE.

Main lines, low angle first (10° ≤ 2θ ≤ 80°):
d [Å], I/Imax
6.755, 100
4.804, 19
4.389, 24
2.698, 22
2.656, 28
2.375, 20
1.910, 20
1.854, 18
1.826, 24
1.689, 22

Structure:
```
18
Lattice="4.809 -4.750 0.000 4.809 4.750 0.000 -0.272 0.000 5.934" Properties=species:S:1:pos:R:3 pbc="T T T"
Li 1.150 1.019 0.657
Li 1.014 -1.019 3.624
Li 8.333 1.019 2.310
Li 8.197 -1.019 5.277
Fe 3.621 1.041 3.450
Fe 4.741 2.029 1.483
Fe 5.590 1.041 5.451
Fe 3.757 -1.041 0.483
Fe 4.606 -2.029 4.450
Fe 5.726 -1.041 2.484
S 3.451 3.338 2.817
S 3.264 1.137 5.746
S 6.032 3.338 0.150
S 3.400 -1.137 2.779
S 5.947 1.137 3.155
S 3.315 -3.338 5.784
S 6.083 -1.137 0.188
S 5.896 -3.338 3.117
```

=====

(2)
Simulated X-ray diffraction stick pattern of Li2Fe3S4 for CuKα, from a crystal structure in the Materials Project, relaxed with GGA-PBE.

Main lines, low angle first (10° ≤ 2θ ≤ 80°):
d [Å], I/Imax
6.037, 100
4.495, 23
3.979, 32
2.851, 47
2.831, 34
2.733, 23
2.248, 28
2.012, 21
1.838, 21
1.802, 19

Structure:
```
18
Lattice="8.357 -3.265 0.000 8.357 3.265 0.000 -1.978 0.000 5.884" Properties=species:S:1:pos:R:3 pbc="T T T"
Li 5.804 2.593 3.267
Li 7.943 2.593 5.558
Li 6.793 -2.593 0.325
Li 8.932 -2.593 2.616
Fe 3.388 0.841 5.545
Fe 4.377 -0.841 2.603
Fe 7.863 0.082 1.471
Fe 6.874 -0.082 4.413
Fe 10.360 0.841 3.281
Fe 11.348 -0.841 0.339
S 4.461 1.296 1.742
S 5.589 1.616 5.554
S 8.158 1.616 3.272
S 3.472 -1.296 4.684
S 11.265 1.296 1.199
S 6.578 -1.616 2.612
S 9.147 -1.616 0.330
S 10.276 -1.296 4.141
```

=====

(3)
Simulated X-ray diffraction stick pattern of LiFeS2 for CuKα, from a crystal structure in the Materials Project, relaxed with GGA-PBE.

Main lines, low angle first (10° ≤ 2θ ≤ 80°):
d [Å], I/Imax
5.624, 94
2.937, 25
2.435, 100
1.875, 22
1.722, 60
1.647, 16
1.406, 18
1.364, 11
1.268, 5
1.218, 8

Structure:
```
16
Lattice="0.000 4.871 4.871 4.871 0.000 4.871 4.871 4.871 0.000" Properties=species:S:1:pos:R:3 pbc="T T T"
Li 0.000 0.000 0.000
Li 2.435 2.435 0.000
Li 2.435 0.000 2.435
Li 0.000 2.435 2.435
Fe 4.871 2.435 2.435
Fe 2.435 4.871 2.435
Fe 2.435 2.435 4.871
Fe 4.871 4.871 4.871
S 2.565 2.565 2.565
S 4.741 4.741 2.565
S 4.741 2.565 4.741
S 7.177 5.000 5.000
S 2.565 4.741 4.741
S 5.000 7.177 5.000
S 5.000 5.000 7.177
S 7.177 7.177 7.177
```

=====

(4)
Simulated X-ray diffraction stick pattern of Li3Fe2S4 for CuKα, from a crystal structure in the Materials Project, relaxed with GGA-PBE.

Main lines, low angle first (10° ≤ 2θ ≤ 80°):
d [Å], I/Imax
5.290, 100
4.609, 42
3.549, 13
3.105, 34
2.451, 22
2.100, 19
1.959, 14
1.911, 15
1.823, 15
1.771, 10

Structure:
```
36
Lattice="6.459 0.000 0.000 0.000 11.062 0.000 0.000 0.000 9.217" Properties=species:S:1:pos:R:3 pbc="T T T"
Li 0.410 2.765 0.572
Li 0.698 6.079 1.483
Li 0.698 10.514 1.483
Li 2.532 0.548 6.092
Li 2.532 4.983 6.092
Li 2.820 8.296 5.180
Li 3.640 2.765 4.037
Li 3.928 6.079 3.126
Li 3.928 10.514 3.126
Li 5.762 0.548 7.734
Li 5.762 4.983 7.734
Li 6.049 8.296 8.646
Fe 0.239 1.403 4.370
Fe 0.239 4.128 4.370
Fe 2.991 6.934 8.979
Fe 2.991 9.659 8.979
Fe 3.469 1.403 0.238
Fe 3.469 4.128 0.238
Fe 6.220 6.934 4.847
Fe 6.220 9.659 4.847
S 0.679 8.296 6.377
S 1.549 5.921 3.826
S 1.549 10.671 3.826
S 1.591 2.765 5.574
S 1.639 8.296 0.965
S 1.681 0.390 8.435
S 1.681 5.140 8.435
S 2.551 2.765 1.768
S 3.909 8.296 7.449
S 4.778 5.921 0.783
S 4.778 10.671 0.783
S 4.821 2.765 8.252
S 4.868 8.296 3.643
S 4.911 0.390 5.392
S 4.911 5.140 5.392
S 5.781 2.765 2.841
```

=====

(5)
Simulated X-ray diffraction stick pattern of Li6FeS4 for CuKα, from a crystal structure in the Materials Project, relaxed with GGA-PBE.

Main lines, low angle first (10° ≤ 2θ ≤ 80°):
d [Å], I/Imax
5.629, 21
4.713, 70
3.980, 11
3.290, 100
3.041, 21
2.416, 16
2.028, 57
1.990, 30
1.710, 16
1.703, 23

Structure:
```
22
Lattice="7.961 0.000 0.000 0.000 7.961 0.000 0.000 0.000 5.848" Properties=species:S:1:pos:R:3 pbc="T T T"
Li 0.186 4.167 1.462
Li 0.186 7.774 1.462
Li 1.990 1.990 1.230
Li 1.990 1.990 4.154
Li 3.794 4.167 1.462
Li 3.794 7.774 1.462
Li 4.167 0.186 4.386
Li 4.167 3.794 4.386
Li 5.970 5.970 1.694
Li 5.970 5.970 4.618
Li 7.774 0.186 4.386
Li 7.774 3.794 4.386
Fe 1.990 5.970 4.386
Fe 5.970 1.990 1.462
S 0.031 1.990 2.724
S 1.990 0.031 5.648
S 1.990 3.949 5.648
S 3.949 1.990 2.724
S 4.012 5.970 3.124
S 5.970 4.012 0.200
S 5.970 7.929 0.200
S 7.929 5.970 3.124
```

=====

(6)
Simulated X-ray diffraction stick pattern of Li3Fe2S4 for CuKα, from a crystal structure in the Materials Project, relaxed with GGA-PBE.

Main lines, low angle first (10° ≤ 2θ ≤ 80°):
d [Å], I/Imax
5.715, 73
4.658, 100
3.619, 42
3.502, 45
3.115, 50
3.055, 50
2.223, 31
2.109, 37
1.809, 36
1.787, 34

Structure:
```
18
Lattice="5.715 -4.446 0.000 5.715 4.446 0.000 -0.018 0.000 6.231" Properties=species:S:1:pos:R:3 pbc="T T T"
Li 5.702 3.507 4.673
Li 4.360 1.129 0.223
Li 7.061 1.129 2.893
Li 4.351 -1.129 3.338
Li 7.052 -1.129 6.008
Li 5.711 -3.507 1.558
Fe 2.320 1.156 3.691
Fe 2.329 -1.156 0.576
Fe 9.084 1.156 5.655
Fe 9.093 -1.156 2.539
S 1.712 0.847 5.878
S 4.543 1.460 3.258
S 1.721 -0.847 2.763
S 6.861 1.460 6.088
S 4.551 -1.460 0.142
S 9.692 0.847 3.468
S 6.870 -1.460 2.973
S 9.701 -0.847 0.352
```

=====

(7)
Simulated X-ray diffraction stick pattern of Li5FeS4 for CuKα, from a crystal structure in the Materials Project, relaxed with GGA-PBE.

Main lines, low angle first (10° ≤ 2θ ≤ 80°):
d [Å], I/Imax
5.576, 52
4.713, 100
3.289, 55
3.257, 73
3.033, 14
2.413, 15
2.022, 65
1.986, 17
1.958, 18
1.695, 17

Structure:
```
20
Lattice="7.831 0.000 0.000 0.000 7.942 0.000 0.000 0.000 5.871" Properties=species:S:1:pos:R:3 pbc="T T T"
Li 0.059 0.299 1.448
Li 0.059 3.672 1.448
Li 1.958 5.957 1.739
Li 3.857 0.299 1.448
Li 3.857 3.672 1.448
Li 3.974 4.270 4.423
Li 3.974 7.644 4.423
Li 5.873 1.986 4.132
Li 7.772 4.270 4.423
Li 7.772 7.644 4.423
Fe 1.958 1.986 4.277
Fe 5.873 5.957 1.594
S 0.046 1.986 5.536
S 1.958 0.085 3.029
S 1.958 3.886 3.029
S 3.869 1.986 5.536
S 3.961 5.957 0.335
S 5.873 4.057 2.842
S 5.873 7.857 2.842
S 7.784 5.957 0.335
```

=====

(8)
Simulated X-ray diffraction stick pattern of LiFeS2 for CuKα, from a crystal structure in the Materials Project, relaxed with GGA-PBE.

Main lines, low angle first (10° ≤ 2θ ≤ 80°):
d [Å], I/Imax
5.731, 100
2.956, 10
2.627, 81
2.057, 69
1.707, 33
1.636, 17
1.604, 23
1.432, 14
1.314, 14
1.289, 7

Structure:
```
4
Lattice="3.413 0.000 0.000 -1.707 2.956 0.000 0.000 0.000 5.731" Properties=species:S:1:pos:R:3 pbc="T T T"
Li 0.000 0.000 0.000
Fe 0.000 0.000 2.865
S 0.000 1.971 4.061
S 1.707 0.985 1.669
```